1.
Diffraction record for YHo2Tm6Sc. The X-ray diffraction stick pattern is simulated, not measured: it uses a crystal structure in Alexandria, relaxed with PBE and Cu Kα (λ = 1.5418 Å).

Structural model:
Unit cell a=8.599 b=8.599 c=9.304 alpha=93.71 beta=93.71 gamma=117.68
Fractional positions:
Y (0.022, 0.978, 0.750)
Y (0.978, 0.022, 0.250)
Ho (0.200, 0.308, 0.547)
Ho (0.308, 0.200, 0.047)
Ho (0.692, 0.800, 0.953)
Ho (0.800, 0.692, 0.453)
Tm (0.010, 0.567, 0.689)
Tm (0.130, 0.752, 0.057)
Tm (0.248, 0.870, 0.443)
Tm (0.290, 0.504, 0.884)
Tm (0.433, 0.990, 0.811)
Tm (0.496, 0.710, 0.616)
Tm (0.504, 0.290, 0.384)
Tm (0.567, 0.010, 0.189)
Tm (0.710, 0.496, 0.116)
Tm (0.752, 0.130, 0.557)
Tm (0.870, 0.248, 0.943)
Tm (0.990, 0.433, 0.311)
Sc (0.413, 0.587, 0.250)
Sc (0.587, 0.413, 0.750)

The 10 most intense peaks (10° ≤ 2θ ≤ 90°), sorted by position:
2θ/deg  I/Imax
15.40  14
28.85  14
29.28  36
31.32  64
31.51  41
32.11  100
32.38  32
33.15  19
34.84  48
52.24  15

2.
Diffraction record for Y4HoTm2Sc. The X-ray diffraction stick pattern is simulated, not measured: it uses a crystal structure in Alexandria, relaxed with PBE and Cu Kα (λ = 1.5418 Å).

Structural model:
Unit cell a=4.964 b=4.964 c=9.908 alpha=90.00 beta=90.00 gamma=90.00
Fractional positions:
Y (0.000, 0.500, 0.245)
Y (0.000, 0.500, 0.755)
Y (0.500, 0.000, 0.245)
Y (0.500, 0.000, 0.755)
Ho (0.000, 0.000, 0.500)
Tm (0.000, 0.000, 0.000)
Tm (0.500, 0.500, 0.500)
Sc (0.500, 0.500, 0.000)

The 10 most intense peaks (10° ≤ 2θ ≤ 90°), sorted by position:
2θ/deg  I/Imax
17.89  7
20.01  6
25.39  6
31.23  100
36.22  50
52.15  35
62.05  41
65.15  12
85.29  17
88.01  11

3.
Diffraction record for YHoTmSc. The X-ray diffraction stick pattern is simulated, not measured: it uses a crystal structure in Alexandria, relaxed with PBE and Cu Kα (λ = 1.5418 Å).

Structural model:
Unit cell a=5.981 b=5.981 c=5.981 alpha=131.52 beta=131.52 gamma=70.99
Fractional positions:
Y (0.000, 0.000, 0.000)
Ho (0.750, 0.250, 0.500)
Tm (0.500, 0.500, 0.000)
Sc (0.250, 0.750, 0.500)

The 10 most intense peaks (10° ≤ 2θ ≤ 90°), sorted by position:
2θ/deg  I/Imax
20.25  26
31.65  100
36.60  34
36.92  16
52.72  12
52.96  23
62.81  27
63.24  13
66.10  12
86.79  11

4.
Diffraction record for HoTmScZn. The X-ray diffraction stick pattern is simulated, not measured: it uses a crystal structure in Alexandria, relaxed with PBE and Cu Kα (λ = 1.5418 Å).

Structural model:
Unit cell a=3.481 b=3.481 c=8.237 alpha=90.00 beta=90.00 gamma=90.00
Fractional positions:
Ho (0.000, 0.000, 0.000)
Tm (0.000, 0.000, 0.565)
Sc (0.500, 0.500, 0.284)
Zn (0.500, 0.500, 0.779)

The 10 most intense peaks (10° ≤ 2θ ≤ 90°), sorted by position:
2θ/deg  I/Imax
10.74  17
21.58  15
25.59  26
33.72  100
36.51  46
41.91  15
42.80  10
52.59  16
58.44  13
63.94  31

5.
Diffraction record for HoScW4. The X-ray diffraction stick pattern is simulated, not measured: it uses a crystal structure in Alexandria, relaxed with PBE and Cu Kα (λ = 1.5418 Å).

Structural model:
Unit cell a=5.471 b=5.471 c=5.471 alpha=60.00 beta=60.00 gamma=60.00
Fractional positions:
Ho (0.000, 0.000, 0.000)
Sc (0.750, 0.750, 0.750)
W (0.375, 0.375, 0.375)
W (0.375, 0.375, 0.875)
W (0.375, 0.875, 0.375)
W (0.875, 0.375, 0.375)

The 10 most intense peaks (10° ≤ 2θ ≤ 90°), sorted by position:
2θ/deg  I/Imax
19.88  35
32.74  13
38.60  100
40.38  60
46.98  15
51.49  9
62.36  33
68.62  30
81.60  12
82.74  23

6.
Diffraction record for YHoSc2. The X-ray diffraction stick pattern is simulated, not measured: it uses a crystal structure in Alexandria, relaxed with PBE and Cu Kα (λ = 1.5418 Å).

Structural model:
Unit cell a=5.820 b=5.820 c=3.449 alpha=90.00 beta=90.00 gamma=107.28
Fractional positions:
Y (0.000, 0.000, 0.000)
Ho (0.500, 0.500, 0.000)
Sc (0.000, 0.500, 0.500)
Sc (0.500, 0.000, 0.500)

The 10 most intense peaks (10° ≤ 2θ ≤ 90°), sorted by position:
2θ/deg  I/Imax
18.94  20
25.83  20
32.22  100
36.85  34
38.41  15
41.74  11
53.09  12
54.28  22
63.48  27
65.60  12

7.
Diffraction record for Y3Ho8Sc3. The X-ray diffraction stick pattern is simulated, not measured: it uses a crystal structure in Alexandria, relaxed with PBE and Cu Kα (λ = 1.5418 Å).

Structural model:
Unit cell a=10.185 b=10.185 c=10.185 alpha=149.58 beta=124.38 gamma=64.72
Fractional positions:
Y (0.000, 0.000, 0.000)
Y (0.257, 0.500, 0.757)
Y (0.743, 0.500, 0.243)
Ho (0.117, 0.877, 0.241)
Ho (0.141, 0.298, 0.843)
Ho (0.364, 0.123, 0.241)
Ho (0.455, 0.298, 0.157)
Ho (0.545, 0.702, 0.843)
Ho (0.636, 0.877, 0.759)
Ho (0.859, 0.702, 0.157)
Ho (0.883, 0.123, 0.759)
Sc (0.167, 0.667, 0.500)
Sc (0.500, 0.000, 0.500)
Sc (0.833, 0.333, 0.500)

The 10 most intense peaks (10° ≤ 2θ ≤ 90°), sorted by position:
2θ/deg  I/Imax
18.67  83
29.59  64
30.91  100
32.87  38
33.54  79
34.53  35
36.35  87
38.64  53
44.63  30
63.36  28

8.
Diffraction record for Y12HoSc2. The X-ray diffraction stick pattern is simulated, not measured: it uses a crystal structure in Alexandria, relaxed with PBE and Cu Kα (λ = 1.5418 Å).

Structural model:
Unit cell a=3.595 b=4.799 c=27.854 alpha=90.00 beta=93.67 gamma=90.00
Fractional positions:
Y (0.033, 0.000, 0.065)
Y (0.099, 0.000, 0.196)
Y (0.161, 0.000, 0.320)
Y (0.224, 0.000, 0.448)
Y (0.308, 0.500, 0.618)
Y (0.434, 0.500, 0.870)
Y (0.566, 0.500, 0.130)
Y (0.692, 0.500, 0.382)
Y (0.776, 0.000, 0.552)
Y (0.839, 0.000, 0.680)
Y (0.901, 0.000, 0.804)
Y (0.967, 0.000, 0.935)
Ho (0.500, 0.500, 0.000)
Sc (0.370, 0.500, 0.742)
Sc (0.630, 0.500, 0.258)

The 10 most intense peaks (10° ≤ 2θ ≤ 90°), sorted by position:
2θ/deg  I/Imax
29.19  13
31.13  100
31.80  91
34.77  60
37.48  33
50.79  13
52.04  37
60.87  28
61.18  26
64.81  13